Record 1
The following is a simulated X-ray diffraction stick pattern of Rb2RuAuF6. It was derived from a structure optimized by DFT (GGA-PBE), using CuKα.

Structure:
Cell lengths 6.332, 6.332, 6.332 Å; angles 116.17, 116.17, 96.77 degrees
Fractional coordinates of all 10 atoms:
Rb: 0.250 0.750 0.500
Rb: 0.750 0.250 0.500
Ru: 0.000 0.000 0.000
Au: 0.500 0.500 0.000
F: 0.212 0.212 0.423
F: 0.212 0.788 0.000
F: 0.250 0.250 0.000
F: 0.750 0.750 0.000
F: 0.788 0.212 0.000
F: 0.788 0.788 0.577

Top 8 peaks for 2θ from 10° to 80°, sorted by position:
d_spacing, I_rel
4.734, 21
3.347, 60
3.144, 100
2.367, 39
2.103, 14
1.891, 44
1.780, 20
1.572, 21



Record 2
The following is a simulated X-ray diffraction stick pattern of Ca3Mg2Ga4. It was derived from a structure optimized by DFT (GGA-PBE), using CuKα.

Structure:
Cell lengths 6.206, 6.206, 8.922 Å; angles 109.15, 109.15, 42.90 degrees
Fractional coordinates of all 9 atoms:
Ca: 0.000 0.000 0.000
Ca: 0.372 0.372 0.307
Ca: 0.628 0.628 0.693
Mg: 0.325 0.325 0.657
Mg: 0.675 0.675 0.343
Ga: 0.071 0.071 0.412
Ga: 0.267 0.267 0.934
Ga: 0.733 0.733 0.066
Ga: 0.929 0.929 0.588

Top 8 peaks for 2θ from 10° to 80°, sorted by position:
d_spacing, I_rel
5.509, 38
3.950, 44
2.930, 59
2.822, 57
2.773, 90
2.476, 37
2.329, 100
2.269, 60



Record 3
The following is a simulated X-ray diffraction stick pattern of ZrZn2Sn4. It was derived from a structure optimized by DFT (GGA-PBE), using CuKα.

Structure:
Cell lengths 7.741, 7.741, 7.741 Å; angles 137.15, 137.15, 62.21 degrees
Fractional coordinates of all 7 atoms:
Zr: 0.000 0.000 0.000
Zn: 0.406 0.406 0.000
Zn: 0.594 0.594 0.000
Sn: 0.000 0.500 0.500
Sn: 0.210 0.210 0.000
Sn: 0.500 0.000 0.500
Sn: 0.790 0.790 0.000

Top 8 peaks for 2θ from 10° to 80°, sorted by position:
d_spacing, I_rel
6.628, 24
4.000, 27
3.424, 58
2.828, 100
2.401, 53
2.151, 24
2.000, 37
1.830, 46



Record 4
The following is a simulated X-ray diffraction stick pattern of Mg2Cu2Pd5. It was derived from a structure optimized by DFT (GGA-PBE), using CuKα.

Structure:
Cell lengths 8.092, 4.419, 4.419 Å; angles 60.17, 90.00, 90.00 degrees
Fractional coordinates of all 9 atoms:
Mg: 0.184 0.000 0.000
Mg: 0.816 0.000 0.000
Cu: 0.000 0.667 0.667
Cu: 0.500 0.335 0.335
Pd: 0.166 0.334 0.334
Pd: 0.331 0.667 0.667
Pd: 0.500 0.001 0.001
Pd: 0.669 0.667 0.667
Pd: 0.834 0.334 0.334

Top 8 peaks for 2θ from 10° to 80°, sorted by position:
d_spacing, I_rel
3.830, 10
3.462, 12
2.215, 25
2.208, 100
2.204, 25
1.562, 16
1.278, 16
1.275, 20



Record 5
The following is a simulated X-ray diffraction stick pattern of LiSi2Ni. It was derived from a structure optimized by DFT (GGA-PBE), using CuKα.

Structure:
Cell lengths 14.463, 6.105, 4.798 Å; angles 90.00, 90.00, 90.00 degrees
Fractional coordinates of all 32 atoms:
Li: 0.108 0.250 0.228
Li: 0.144 0.750 0.473
Li: 0.356 0.250 0.973
Li: 0.392 0.750 0.728
Li: 0.608 0.250 0.272
Li: 0.644 0.750 0.027
Li: 0.856 0.250 0.527
Li: 0.892 0.750 0.772
Si: 0.030 0.051 0.734
Si: 0.030 0.449 0.734
Si: 0.216 0.552 0.969
Si: 0.216 0.948 0.969
Si: 0.284 0.052 0.469
Si: 0.284 0.448 0.469
Si: 0.470 0.551 0.234
Si: 0.470 0.949 0.234
Si: 0.530 0.051 0.766
Si: 0.530 0.449 0.766
Si: 0.716 0.552 0.531
Si: 0.716 0.948 0.531
Si: 0.784 0.052 0.031
Si: 0.784 0.448 0.031
Si: 0.970 0.551 0.266
Si: 0.970 0.949 0.266
Ni: 0.076 0.750 0.990
Ni: 0.171 0.250 0.715
Ni: 0.329 0.750 0.215
Ni: 0.424 0.250 0.490
Ni: 0.576 0.750 0.510
Ni: 0.671 0.250 0.785
Ni: 0.829 0.750 0.285
Ni: 0.924 0.250 0.010

Top 8 peaks for 2θ from 10° to 80°, sorted by position:
d_spacing, I_rel
4.554, 70
3.998, 100
3.772, 71
3.650, 85
3.111, 70
2.333, 56
2.133, 93
1.825, 76



Record 6
The following is a simulated X-ray diffraction stick pattern of LiGaBH3O5. It was derived from a structure optimized by DFT (GGA-PBE), using CuKα.

Structure:
Cell lengths 4.860, 4.860, 12.286 Å; angles 90.36, 90.36, 119.95 degrees
Fractional coordinates of all 22 atoms:
Li: 0.002 0.998 0.500
Li: 0.998 0.002 0.000
Ga: 0.334 0.669 0.118
Ga: 0.669 0.334 0.618
B: 0.335 0.665 0.566
B: 0.665 0.335 0.066
H: 0.133 0.233 0.311
H: 0.134 0.904 0.311
H: 0.233 0.133 0.811
H: 0.546 0.772 0.297
H: 0.772 0.546 0.797
H: 0.904 0.134 0.811
O: 0.012 0.020 0.839
O: 0.020 0.012 0.339
O: 0.049 0.383 0.566
O: 0.326 0.660 0.270
O: 0.339 0.950 0.568
O: 0.383 0.049 0.066
O: 0.616 0.659 0.563
O: 0.659 0.616 0.063
O: 0.660 0.326 0.770
O: 0.950 0.339 0.068

Top 8 peaks for 2θ from 10° to 80°, sorted by position:
d_spacing, I_rel
6.142, 100
3.989, 52
3.971, 27
3.491, 17
3.472, 19
3.456, 19
3.071, 27
2.431, 32



Record 7
The following is a simulated X-ray diffraction stick pattern of Sc2Ti4O9. It was derived from a structure optimized by DFT (GGA-PBE), using CuKα.

Structure:
Cell lengths 5.207, 5.207, 14.098 Å; angles 90.00, 90.00, 120.00 degrees
Fractional coordinates of all 30 atoms:
Sc: 0.000 0.000 0.146
Sc: 0.000 0.000 0.354
Sc: 0.000 0.000 0.646
Sc: 0.000 0.000 0.854
Ti: 0.333 0.667 0.183
Ti: 0.333 0.667 0.489
Ti: 0.333 0.667 0.683
Ti: 0.333 0.667 0.989
Ti: 0.667 0.333 0.011
Ti: 0.667 0.333 0.317
Ti: 0.667 0.333 0.511
Ti: 0.667 0.333 0.817
O: 0.000 0.314 0.250
O: 0.000 0.686 0.750
O: 0.022 0.370 0.583
O: 0.022 0.653 0.083
O: 0.314 0.000 0.250
O: 0.314 0.314 0.750
O: 0.347 0.370 0.083
O: 0.347 0.978 0.583
O: 0.370 0.022 0.917
O: 0.370 0.347 0.417
O: 0.630 0.653 0.583
O: 0.630 0.978 0.083
O: 0.653 0.022 0.417
O: 0.653 0.630 0.917
O: 0.686 0.000 0.750
O: 0.686 0.686 0.250
O: 0.978 0.347 0.917
O: 0.978 0.630 0.417

Top 8 peaks for 2θ from 10° to 80°, sorted by position:
d_spacing, I_rel
3.799, 60
2.777, 100
2.604, 82
2.277, 39
1.899, 42
1.744, 89
1.534, 35
1.503, 47



Record 8
The following is a simulated X-ray diffraction stick pattern of NaNdF4. It was derived from a structure optimized by DFT (GGA-PBE), using CuKα.

Structure:
Cell lengths 6.194, 6.194, 7.394 Å; angles 90.00, 90.00, 120.00 degrees
Fractional coordinates of all 18 atoms:
Na: 0.000 0.000 0.000
Na: 0.667 0.333 0.207
Na: 0.667 0.333 0.793
Nd: 0.000 0.000 0.500
Nd: 0.333 0.667 0.246
Nd: 0.333 0.667 0.754
F: 0.047 0.437 0.000
F: 0.063 0.420 0.500
F: 0.274 0.258 0.261
F: 0.274 0.258 0.739
F: 0.358 0.937 0.500
F: 0.390 0.953 0.000
F: 0.563 0.610 0.000
F: 0.580 0.642 0.500
F: 0.742 0.016 0.261
F: 0.742 0.016 0.739
F: 0.984 0.726 0.261
F: 0.984 0.726 0.739

Top 8 peaks for 2θ from 10° to 80°, sorted by position:
d_spacing, I_rel
5.364, 95
4.342, 41
3.097, 82
3.044, 100
2.374, 23
2.171, 85
1.788, 34
1.778, 72